Record 1
The following is a calculated powder diffractogram of SmGa2S4. It was derived from a structure optimized by DFT (PBE), using Cu Kα, 1.54184 Å.

Main lines, in order of falling intensity (2θ = 10–90°):
38.6 deg, I 100, (2 2 2); 24.5 deg, I 66, (1 1 2); 16.8 deg, I 57, (1 1 0); 25.4 deg, I 45, (0 2 2); 31.0 deg, I 37, (1 3 0); 52.3 deg, I 32, (1 5 2); 35.8 deg, I 29, (0 0 4); 48.0 deg, I 22, (1 3 4); 36.8 deg, I 20, (0 4 0); 48.1 deg, I 19, (3 1 2)

Crystal structure
a = 6.2589 Å, b = 9.7631 Å, c = 10.0452 Å
α = 90.00°, β = 90.00°, γ = 90.00°
Space group Cccm (No. 66)
One atom of each set of equivalent atoms:
1 Sm 0.0000 0.0000 0.2500 x4
2 Ga 0.0054 0.2801 0.0000 x8
3 S 0.2118 0.0710 0.5000 x8
4 S 0.2500 0.2500 0.1797 x8

---

Record 2
The following is a calculated powder diffractogram of Ga2Sn2S5. It was derived from a structure optimized by DFT (PBE), using Cu Kα, 1.54184 Å.

Main lines, in order of falling intensity (2θ = 10–90°):
22.4 deg, I 100, (1 1 2); 28.1 deg, I 56, (4 0 0); 35.5 deg, I 42, (2 0 4); 29.3 deg, I 38, (4 0 1); 29.9 deg, I 38, (1 2 1); 30.0 deg, I 36, (3 1 2); 32.5 deg, I 27, (0 0 4); 16.1 deg, I 24, (0 0 2); 46.2 deg, I 24, (1 3 2); 27.9 deg, I 24, (0 2 0)

Crystal structure
a = 12.7093 Å, b = 6.3981 Å, c = 11.0256 Å
α = 90.00°, β = 90.00°, γ = 90.00°
Space group Pna2_1 (No. 33)
One atom of each set of equivalent atoms:
1 Ga 0.1818 0.1519 0.0000 x4
2 Ga 0.2318 0.6465 0.8340 x4
3 Sn 0.0177 0.4500 0.4757 x4
4 Sn 0.0388 0.0439 0.7003 x4
5 S 0.0069 0.1404 0.9409 x4
6 S 0.0616 0.6428 0.7568 x4
7 S 0.1724 0.9781 0.1850 x4
8 S 0.2120 0.4886 0.3584 x4
9 S 0.2262 0.4941 0.0211 x4

---

Record 3
The following is a calculated powder diffractogram of Sr8Ga16S31. It was derived from a structure optimized by DFT (PBE), using Cu Kα, 1.54184 Å.

Main lines, in order of falling intensity (2θ = 10–90°):
23.8 deg, I 100, (0 2 1); 38.2 deg, I 58, (4 0 0); 38.0 deg, I 57, (0 4 -4); 33.8 deg, I 53, (0 0 4); 16.7 deg, I 48, (0 0 2); 24.0 deg, I 40, (2 -2 2); 29.8 deg, I 34, (-4 2 1); 29.6 deg, I 32, (2 -4 1); 23.8 deg, I 31, (2 0 1); 45.5 deg, I 22, (2 -4 5)

Crystal structure
a = 11.9842 Å, b = 12.0814 Å, c = 12.2547 Å
α = 104.94°, β = 104.64°, γ = 118.68°
Space group P1 (No. 1)
One atom of each set of equivalent atoms:
1 Sr 0.0000 0.0000 0.0000 x1
2 Sr 0.0006 0.5163 0.0020 x1
3 Sr 0.2476 0.7540 0.4997 x1
4 Sr 0.2501 0.2610 0.4972 x1
5 Sr 0.4983 0.5080 0.0032 x1
6 Sr 0.5021 0.0097 0.0011 x1
7 Sr 0.7467 0.7562 0.5006 x1
8 Sr 0.7509 0.2590 0.4992 x1
9 Ga 0.0029 0.3526 0.2464 x1
10 Ga 0.0142 0.2456 0.7509 x1
11 Ga 0.0936 0.7449 0.7517 x1
12 Ga 0.1569 0.0229 0.7504 x1
13 Ga 0.2351 0.4070 0.2410 x1
14 Ga 0.2352 0.5206 0.7525 x1
15 Ga 0.2651 0.9161 0.2510 x1
16 Ga 0.4837 0.2746 0.2489 x1
17 Ga 0.4866 0.7687 0.2490 x1
18 Ga 0.5140 0.2462 0.7512 x1
19 Ga 0.5939 0.7458 0.7527 x1
20 Ga 0.6579 0.0243 0.7525 x1
21 Ga 0.7338 0.5192 0.7499 x1
22 Ga 0.7610 0.9960 0.2503 x1
23 Ga 0.7623 0.4902 0.2486 x1
24 Ga 0.9849 0.8516 0.2524 x1
25 S 0.0411 0.8004 0.0866 x1
26 S 0.0418 0.8004 0.5873 x1
27 S 0.0432 0.3014 0.5891 x1
28 S 0.2047 0.4638 0.9163 x1
29 S 0.2079 0.9660 0.4150 x1
30 S 0.2081 0.9667 0.9149 x1
31 S 0.2137 0.4735 0.4326 x1
32 S 0.2751 0.2326 0.2431 x1
33 S 0.2768 0.7251 0.7537 x1
34 S 0.2830 0.7335 0.2496 x1
35 S 0.3112 0.2264 0.7492 x1
36 S 0.4389 0.5421 0.7541 x1
37 S 0.4535 0.5634 0.2480 x1
38 S 0.4680 0.0747 0.2499 x1
39 S 0.4736 0.0424 0.7511 x1
40 S 0.5421 0.3012 0.0860 x1
41 S 0.5432 0.3011 0.5872 x1
42 S 0.5429 0.8014 0.0872 x1
43 S 0.5448 0.8044 0.5894 x1
44 S 0.7048 0.4637 0.4124 x1
45 S 0.7053 0.9643 0.4130 x1
46 S 0.7055 0.4651 0.9139 x1
47 S 0.7129 0.9694 0.9177 x1
48 S 0.7752 0.7233 0.7504 x1
49 S 0.7811 0.6927 0.2523 x1
50 S 0.7901 0.1988 0.2468 x1
51 S 0.8156 0.2302 0.7570 x1
52 S 0.9376 0.5408 0.7514 x1
53 S 0.9649 0.0322 0.2496 x1
54 S 0.9661 0.5276 0.2444 x1
55 S 0.9746 0.0433 0.7541 x1

---

Record 4
The following is a calculated powder diffractogram of Ti4GaS8. It was derived from a structure optimized by DFT (PBE), using Cu Kα, 1.54184 Å.

Main lines, in order of falling intensity (2θ = 10–90°):
51.9 deg, I 100, (4 4 0); 29.7 deg, I 90, (3 1 1); 36.0 deg, I 84, (4 0 0); 47.4 deg, I 48, (5 1 1); 17.8 deg, I 29, (2 0 0); 15.4 deg, I 29, (1 1 1); 25.3 deg, I 21, (2 2 0); 44.5 deg, I 17, (4 2 2); 87.5 deg, I 17, (8 4 0); 39.4 deg, I 16, (3 3 1)

Crystal structure
a = 9.9722 Å, b = 9.9722 Å, c = 9.9722 Å
α = 90.00°, β = 90.00°, γ = 90.00°
Space group F-43m (No. 216)
One atom of each set of equivalent atoms:
1 Ti 0.1117 0.1117 0.3883 x16
2 Ga 0.0000 0.0000 0.0000 x4
3 S 0.1263 0.1263 0.6263 x16
4 S 0.1333 0.1333 0.1333 x16

---

Record 5
The following is a calculated powder diffractogram of Zn2Ga2S5. It was derived from a structure optimized by DFT (PBE), using Cu Kα, 1.54184 Å.

Main lines, in order of falling intensity (2θ = 10–90°):
28.5 deg, I 100, (1 0 2); 49.3 deg, I 100, (1 1 0); 29.2 deg, I 58, (1 0 3); 45.8 deg, I 56, (1 0 12); 23.5 deg, I 53, (0 0 8); 41.0 deg, I 49, (1 0 10); 53.7 deg, I 42, (1 0 15); 38.8 deg, I 40, (1 0 9); 33.1 deg, I 40, (1 0 6); 31.6 deg, I 28, (1 0 5)

Crystal structure
a = 3.6992 Å, b = 3.6992 Å, c = 30.2607 Å
α = 90.00°, β = 90.00°, γ = 120.00°
Space group P6_3/mmc (No. 194)
One atom of each set of equivalent atoms:
1 Zn 0.0000 0.0000 0.2006 x4
2 Ga 0.3333 0.6667 0.0863 x4
3 S 0.3333 0.6667 0.1595 x4
4 S 0.3333 0.6667 0.5527 x4
5 S 0.3333 0.6667 0.7500 x2

---

Record 6
The following is a calculated powder diffractogram of Zn3Ga2S6. It was derived from a structure optimized by DFT (PBE), using Cu Kα, 1.54184 Å.

Main lines, in order of falling intensity (2θ = 10–90°):
29.0 deg, I 100, (1 0 2); 48.1 deg, I 70, (1 1 0); 24.3 deg, I 62, (0 0 5); 52.9 deg, I 47, (0 1 9); 44.3 deg, I 45, (1 0 7); 54.6 deg, I 37, (1 1 5); 27.2 deg, I 34, (1 0 0); 33.6 deg, I 32, (0 1 4); 27.7 deg, I 23, (1 0 1); 74.3 deg, I 16, (2 0 9)

Crystal structure
a = 3.7802 Å, b = 3.7802 Å, c = 18.3504 Å
α = 90.00°, β = 90.00°, γ = 120.00°
Space group P3m1 (No. 156)
One atom of each set of equivalent atoms:
1 Zn 0.0000 0.0000 0.0000 x1
2 Zn 0.0000 0.0000 0.4273 x1
3 Zn 0.6667 0.3333 0.6017 x1
4 Ga 0.3333 0.6667 0.8031 x1
5 Ga 0.6667 0.3333 0.1758 x1
6 S 0.0000 0.0000 0.2222 x1
7 S 0.0000 0.0000 0.5625 x1
8 S 0.0000 0.0000 0.8770 x1
9 S 0.6667 0.3333 0.0489 x1
10 S 0.6667 0.3333 0.3859 x1
11 S 0.6667 0.3333 0.7375 x1

---

Record 7
The following is a calculated powder diffractogram of Zn2Ga2S5. It was derived from a structure optimized by DFT (PBE), using Cu Kα, 1.54184 Å.

Main lines, in order of falling intensity (2θ = 10–90°):
32.1 deg, I 100, (0 1 8); 49.3 deg, I 96, (1 1 0); 28.2 deg, I 61, (0 1 2); 39.6 deg, I 55, (0 1 14); 52.9 deg, I 51, (1 0 22); 23.6 deg, I 37, (0 0 12); 29.6 deg, I 28, (0 1 5); 55.4 deg, I 20, (1 1 12); 31.2 deg, I 17, (1 0 7); 17.6 deg, I 16, (0 0 9)

Crystal structure
a = 3.6935 Å, b = 3.6935 Å, c = 45.3123 Å
α = 90.00°, β = 90.00°, γ = 120.00°
Space group R-3m (No. 166, hexagonal axes)
One atom of each set of equivalent atoms:
1 Zn 0.0000 0.0000 0.1334 x6
2 Ga 0.0000 0.0000 0.2762 x6
3 S 0.0000 0.0000 0.2275 x6
4 S 0.0000 0.0000 0.3679 x6
5 S 0.0000 0.0000 0.5000 x3